# TbBiN2O
Simulated XRD peak list, Cu Kα X-rays. Input: the PBE geometry in OQMD.

a = 6.6610 Å, b = 6.6610 Å, c = 12.1982 Å
α = 90.00°, β = 90.00°, γ = 120.00°
Space group P6_3cm (No. 185)
Asymmetric unit:
Tb 0.0000 0.0000 0.0000
Tb 0.3333 0.6667 0.4697
Bi 0.0000 0.3333 0.2341
N 0.0000 0.3103 0.4018
N 0.0000 0.3589 0.0675
O 0.0000 0.0000 0.2021
O 0.3333 0.6667 0.2629

The 10 most intense peaks (2θ = 15–90°), most intense first:
- 30.58°, intensity 100
- 27.77°, intensity 84
- 47.27°, intensity 45
- 29.29°, intensity 42
- 56.58°, intensity 41
- 34.82°, intensity 31
- 52.75°, intensity 24
- 46.12°, intensity 21
- 57.36°, intensity 18
- 77.41°, intensity 16